For LiV2Zn2Si2O10, a cell relaxed with GGA+U gives the theoretical X-ray powder pattern in this record (a wavelength of 1.5418 Å).
Neutral-atom scattering factors, no anomalous dispersion.

Structural model:
Unit cell a=5.3328 b=5.5441 c=7.2512 alpha=107.54 beta=108.87 gamma=96.20
Space group P1 (No. 1)
Asymmetric unit:
Li: 0.0000 0.0000 0.0000 (multiplicity 1)
V: 0.4735 0.0731 0.8022 (multiplicity 1)
V: 0.5311 0.0836 0.3113 (multiplicity 1)
Zn: 0.2449 0.4279 0.5310 (multiplicity 1)
Zn: 0.7307 0.6622 0.0744 (multiplicity 1)
Si: 0.1767 0.4689 0.0610 (multiplicity 1)
Si: 0.8178 0.7088 0.5607 (multiplicity 1)
O: 0.1083 0.8811 0.7462 (multiplicity 1)
O: 0.1870 0.7813 0.1492 (multiplicity 1)
O: 0.2711 0.3276 0.2356 (multiplicity 1)
O: 0.3659 0.4048 0.9204 (multiplicity 1)
O: 0.4172 0.1317 0.5588 (multiplicity 1)
O: 0.5811 0.7282 0.6644 (multiplicity 1)
O: 0.6265 0.9974 0.0493 (multiplicity 1)
O: 0.7457 0.8144 0.3664 (multiplicity 1)
O: 0.8524 0.3397 0.9257 (multiplicity 1)
O: 0.8528 0.4047 0.4747 (multiplicity 1)

Principal peaks in the range 2θ from 5° to 70°, by angle:
- d = 4.914 Å, rel. 25, hkl 1 0 0
- d = 3.313 Å, rel. 13, hkl 1 0 -2
- d = 3.300 Å, rel. 100, hkl 0 1 -2
- d = 3.207 Å, rel. 81, hkl 1 1 0
- d = 2.547 Å, rel. 23, hkl -1 1 2
- d = 2.529 Å, rel. 49, hkl 1 -2 0
- d = 2.457 Å, rel. 13, hkl -2 1 1
- d = 2.443 Å, rel. 27, hkl 2 -1 0
- d = 2.285 Å, rel. 14, hkl 1 2 -2
- d = 2.044 Å, rel. 27, hkl 2 1 0
- d = 1.710 Å, rel. 17, hkl 1 -3 2
- d = 1.461 Å, rel. 15, hkl 1 -2 4